[1]
This entry pairs a crystal structure of Sr2Y4Fe2Cu2O13 with its theoretical X-ray powder pattern. Radiation: Cu Kα (weighted mean of Kα1 and Kα2). Structure: a structure optimized by DFT (PBE+U).

Principal peaks in the range 2θ = 5–70°, low angle first:
2θ 31.8, I = 98, hkl 1 -2 3; 2θ 32.0, I = 100, hkl 1 2 -4; 2θ 32.7, I = 29, hkl 2 0 -1; 2θ 33.1, I = 35, hkl 0 4 -2; 2θ 42.6, I = 10, hkl 0 4 -5; 2θ 44.2, I = 18, hkl 0 0 5; 2θ 47.2, I = 47, hkl 2 -4 1; 2θ 56.3, I = 14, hkl 0 4 3; 2θ 57.7, I = 16, hkl 3 -2 2; 2θ 58.3, I = 21, hkl 1 -6 0

Structural model:
Lattice parameters (Å, degrees): 5.480 10.823 11.870 116.98 102.91 90.08
Space group P-1 (No. 2)
Inequivalent atoms, fractional coordinates:
Sr 0.201 0.359 0.491
Sr 0.298 0.870 0.509
Y 0.022 0.175 0.133
Y 0.106 0.678 0.129
Y 0.393 0.549 0.870
Y 0.478 0.042 0.867
Fe 0.190 0.520 0.309
Fe 0.311 0.211 0.691
Cu 0.114 0.014 0.296
Cu 0.385 0.718 0.703
O 0.063 0.359 0.721
O 0.103 0.609 0.713
O 0.147 0.861 0.709
O 0.155 0.150 0.794
O 0.200 0.111 0.509
O 0.250 0.027 0.000
O 0.250 0.472 0.000
O 0.251 0.752 0.000
O 0.301 0.603 0.491
O 0.347 0.357 0.207
O 0.352 0.151 0.291
O 0.394 0.895 0.287
O 0.436 0.638 0.278

[2]
This entry pairs a crystal structure of TbFe4Cu3O12 with its theoretical X-ray powder pattern. Radiation: Cu Kα (weighted mean of Kα1 and Kα2). Structure: a structure optimized by DFT (PBE+U).

Principal peaks in the range 2θ = 5–70°, low angle first:
2θ 16.8, I = 14, hkl 1 1 0; 2θ 23.9, I = 5, hkl 2 0 0; 2θ 29.3, I = 4, hkl 2 1 1; 2θ 34.0, I = 100, hkl 2 2 0; 2θ 38.2, I = 10, hkl 3 1 0; 2θ 42.0, I = 5, hkl 2 2 2; 2θ 45.5, I = 10, hkl 3 2 1; 2θ 48.9, I = 24, hkl 4 0 0; 2θ 60.9, I = 47, hkl 4 2 2; 2θ 63.6, I = 3, hkl 4 1 3

Structural model:
Lattice parameters (Å, degrees): 7.456 7.456 7.456 90.00 90.00 90.00
Space group Im-3 (No. 204)
Inequivalent atoms, fractional coordinates:
Tb 0.000 0.000 0.000
Fe 0.250 0.250 0.250
Cu 0.000 0.000 0.500
O 0.000 0.165 0.308

[3]
This entry pairs a crystal structure of VFe2Cu3O6 with its theoretical X-ray powder pattern. Radiation: Cu Kα (weighted mean of Kα1 and Kα2). Structure: a structure optimized by DFT (PBE+U).

Principal peaks in the range 2θ = 5–70°, low angle first:
2θ 31.0, I = 29, hkl 0 0 6; 2θ 34.2, I = 10, hkl 1 0 1; 2θ 35.4, I = 100, hkl 0 1 2; 2θ 39.9, I = 37, hkl 1 0 4; 2θ 47.2, I = 1, hkl 0 0 9; 2θ 54.7, I = 30, hkl 0 1 8; 2θ 60.5, I = 25, hkl 1 1 0; 2θ 64.2, I = 20, hkl 1 0 10; 2θ 64.6, I = 4, hkl 0 0 12; 2θ 69.5, I = 16, hkl 1 1 6

Structural model:
Lattice parameters (Å, degrees): 3.0626 3.0626 17.3239 90.00 90.00 120.00
Space group P-3m1 (No. 164)
Inequivalent atoms, fractional coordinates:
V 0.0000 0.0000 0.0000
Fe 0.3333 0.6667 0.6666
Cu 0.0000 0.0000 0.5000
Cu 0.3333 0.6667 0.1668
O 0.0000 0.0000 0.3934
O 0.3333 0.6667 0.0604
O 0.3333 0.6667 0.2735